Diffraction record for MgH4Pd8. The powder XRD pattern is simulated, not measured: it uses a cell relaxed with GGA-PBE and Cu Kα (weighted mean of Kα1 and Kα2).
Lines closer than 0.1° are merged.

Structure:
```
13
Lattice="2.8890 0.0000 0.0000 1.4319 7.4108 0.0000 0.0350 3.2054 7.0016" Properties=species:S:1:pos:R:3 pbc="T T T"
Mg 0.0000 0.0000 0.0000
H 1.5016 4.0503 1.3208
H 1.4697 3.9702 3.9252
H 2.8898 6.6374 3.0751
H 2.8638 6.5573 5.6792
Pd 1.4625 7.3799 4.6738
Pd 1.4429 5.7494 2.2812
Pd 1.4451 2.4344 0.0104
Pd 1.4759 2.3770 4.7276
Pd 2.8828 8.2318 2.2744
Pd 2.9130 8.1774 6.9912
Pd 2.9161 4.8590 4.7204
Pd 2.8968 3.2285 2.3282
```

Principal peaks in the range 2θ = 10–90°, sorted by position:
- 2θ = 36.3°, intensity 27.5, hkl -1 1 1
- 2θ = 38.6°, intensity 75.3, hkl 0 0 3
- 2θ = 40.1°, intensity 100.0, hkl 1 2 2
- 2θ = 40.2°, intensity 48.6, hkl -1 1 2
- 2θ = 41.9°, intensity 37.9, hkl 1 -1 1
- 2θ = 42.1°, intensity 38.4, hkl 1 2 -1
- 2θ = 42.7°, intensity 38.0, hkl 0 3 3
- 2θ = 64.5°, intensity 16.5, hkl 2 1 0
- 2θ = 65.2°, intensity 15.8, hkl -1 4 2
- 2θ = 65.3°, intensity 16.1, hkl 1 5 2


Diffraction record for Cs2CeAsS3Cl2. The powder XRD pattern is simulated, not measured: it uses a cell relaxed with GGA-PBE and Cu Kα (weighted mean of Kα1 and Kα2).
Lines closer than 0.1° are merged.

Structure:
```
36
Lattice="18.0875 0.0000 0.0000 0.0000 6.7104 0.0000 0.0000 0.0000 9.5197" Properties=species:S:1:pos:R:3 pbc="T T T"
Cs 1.3154 1.6776 0.3638
Cs 3.9683 5.0328 7.9606
Cs 5.0754 1.6776 3.2007
Cs 7.7284 5.0328 5.1236
Cs 10.3592 1.6776 4.3960
Cs 13.0121 5.0328 6.3189
Cs 14.1192 1.6776 1.5591
Cs 16.7722 5.0328 9.1558
Ce 1.0183 5.0328 4.1182
Ce 8.0255 1.6776 8.8781
Ce 10.0621 5.0328 0.6416
Ce 17.0693 1.6776 5.4014
As 2.4295 1.6776 5.8992
As 6.6143 5.0328 1.1393
As 11.4733 1.6776 8.3803
As 15.6581 5.0328 3.6205
S 1.1028 3.3825 6.5935
S 1.1028 6.6831 6.5935
S 1.6287 1.6776 3.7926
S 7.4150 5.0328 8.5525
S 7.9410 0.0273 1.8337
S 7.9410 3.3279 1.8337
S 10.1466 3.3825 7.6860
S 10.1466 6.6831 7.6860
S 10.6725 1.6776 0.9672
S 16.4588 5.0328 5.7270
S 16.9847 0.0273 2.9262
S 16.9847 3.3279 2.9262
Cl 1.8618 5.0328 1.3454
Cl 3.8910 5.0328 4.4623
Cl 5.1527 1.6776 9.2221
Cl 7.1819 1.6776 6.1053
Cl 10.9056 5.0328 3.4144
Cl 12.9348 5.0328 0.2976
Cl 14.1965 1.6776 5.0574
Cl 16.2257 1.6776 8.1742
```

Principal peaks in the range 2θ = 10–90°, sorted by position:
- 2θ = 18.9°, intensity 43.2, hkl 2 1 1
- 2θ = 21.9°, intensity 76.3, hkl 3 1 1
- 2θ = 23.4°, intensity 58.5, hkl 1 1 2
- 2θ = 23.8°, intensity 35.4, hkl 3 0 2
- 2θ = 26.6°, intensity 100.0, hkl 0 2 0
- 2θ = 29.6°, intensity 97.8, hkl 6 0 0
- 2θ = 31.6°, intensity 72.5, hkl 1 1 3
- 2θ = 32.6°, intensity 59.1, hkl 6 1 0
- 2θ = 34.6°, intensity 84.3, hkl 4 0 3
- 2θ = 41.3°, intensity 39.9, hkl 5 2 2


Diffraction record for Pr4SiPt4. The powder XRD pattern is simulated, not measured: it uses a cell relaxed with GGA-PBE and Cu Kα (weighted mean of Kα1 and Kα2).
Lines closer than 0.1° are merged.

Structure:
```
18
Lattice="8.4900 0.0000 0.0000 0.0000 8.4900 0.0000 0.0000 0.0000 6.4456" Properties=species:S:1:pos:R:3 pbc="T T T"
Pr 0.2268 2.1225 0.4435
Pr 2.1225 0.2268 3.6663
Pr 2.1225 4.0182 3.6663
Pr 4.0182 2.1225 0.4435
Pr 4.4718 6.3675 6.0021
Pr 6.3675 4.4718 2.7793
Pr 6.3675 8.2632 2.7793
Pr 8.2632 6.3675 6.0021
Si 2.1225 6.3675 1.6114
Si 6.3675 2.1225 4.8342
Pt 0.1784 6.3675 3.0253
Pt 2.1225 4.4234 0.1975
Pt 2.1225 8.3116 0.1975
Pt 4.0666 6.3675 3.0253
Pt 4.4234 2.1225 3.4203
Pt 6.3675 0.1784 6.2481
Pt 6.3675 4.0666 6.2481
Pt 8.3116 2.1225 3.4203
```

Principal peaks in the range 2θ = 10–90°, sorted by position:
- 2θ = 27.7°, intensity 42.6, hkl 0 0 2
- 2θ = 29.6°, intensity 18.5, hkl 1 0 2
- 2θ = 29.8°, intensity 100.0, hkl 2 2 0
- 2θ = 36.2°, intensity 20.1, hkl 3 1 1
- 2θ = 36.6°, intensity 15.8, hkl 2 1 2
- 2θ = 41.1°, intensity 61.1, hkl 2 2 2
- 2θ = 42.6°, intensity 42.9, hkl 4 0 0
- 2θ = 51.6°, intensity 26.2, hkl 4 0 2
- 2θ = 61.8°, intensity 15.6, hkl 4 4 0
- 2θ = 65.8°, intensity 15.5, hkl 5 3 1


> Number 3 is which compound?

Pr4SiPt4